This entry pairs a crystal structure of TbVSe2O8 with its theoretical powder XRD pattern. Radiation: Cu Kα, 1.54184 Å. Structure: a PBE+U-relaxed structure.
Intensities are scaled so that the largest is 100.

Largest 8 diffraction maxima, sorted by position, 10° ≤ 2θ ≤ 80°:
Position (°2θ)  I_rel
25.30  79
25.85  98
26.12  59
28.85  49
29.19  68
30.02  100
31.97  42
35.00  42

Crystal structure
```
48
Lattice="6.790 0.000 0.000 0.000 7.041 0.000 -0.222 0.000 13.784" Properties=species:S:1:pos:R:3 pbc="T T T"
Tb 0.503 1.760 0.919
Tb 2.488 5.281 1.829
Tb 4.080 1.760 11.955
Tb 6.065 5.281 12.865
V 2.414 0.064 8.571
V 2.414 3.457 8.571
V 4.155 3.584 5.213
V 4.155 6.978 5.213
Se 0.181 1.760 4.753
Se 0.575 1.760 11.616
Se 1.309 5.281 5.517
Se 2.897 5.281 11.936
Se 3.672 1.760 1.848
Se 5.260 1.760 8.267
Se 5.993 5.281 2.168
Se 6.388 5.281 9.031
O -0.056 5.281 10.687
O 0.134 4.063 1.315
O 0.134 6.499 1.315
O 0.505 3.896 8.441
O 0.505 6.667 8.441
O 1.339 5.281 3.818
O 1.765 5.281 13.256
O 1.946 1.760 7.996
O 1.917 1.760 12.692
O 2.346 3.901 5.907
O 2.346 6.661 5.907
O 2.517 0.521 1.437
O 2.517 2.999 1.437
O 2.649 0.407 10.175
O 2.649 3.114 10.175
O 2.730 5.281 8.501
O 3.838 1.760 5.283
O 3.919 3.927 3.609
O 3.919 6.635 3.609
O 4.051 4.042 12.347
O 4.051 6.520 12.347
O 4.223 0.380 7.877
O 4.223 3.141 7.877
O 4.652 5.281 1.092
O 4.623 5.281 5.788
O 4.804 1.760 0.528
O 5.229 1.760 9.966
O 6.063 0.375 5.343
O 6.063 3.146 5.343
O 6.434 0.542 12.469
O 6.434 2.979 12.469
O 6.624 1.760 3.097
```